This entry pairs a crystal structure of Li2Co2P2O9 with its simulated powder XRD pattern. Radiation: CuKα. Structure: a GGA+U-relaxed structure.

Main lines, low angle first (10 to 90 degrees two-theta):
(0 0 1), 11.78°, I 100; (0 1 0), 13.87°, I 49; (1 0 0), 18.99°, I 12; (1 1 0), 19.39°, I 16; (1 0 1), 23.93°, I 17; (1 1 -1), 24.54°, I 23; (0 2 1), 24.75°, I 12; (0 2 2), 27.01°, I 19; (1 1 -2), 33.48°, I 9; (2 1 0), 36.22°, I 11

Structural model:
```
Li2Co2P2O9
1.0
4.9630 0.0000 0.0000
2.2952 7.2022 0.0000
0.0206 3.9289 7.5150
Li Co P O
2 2 2 9
direct
0.1769 0.0409 0.0759
0.8231 0.9591 0.9241
0.3228 0.7401 0.5039
0.6772 0.2599 0.4961
0.3031 0.9969 0.7128
0.6969 0.0031 0.2872
0.0806 0.1818 0.5530
0.2082 0.9607 0.8929
0.3679 0.7918 0.6945
0.4115 0.9518 0.2945
0.5000 0.5000 0.5000
0.5885 0.0482 0.7055
0.6321 0.2082 0.3055
0.7918 0.0393 0.1071
0.9194 0.8182 0.4470
```